For La2Pm2NdTm2, DFT lattice parameters and positions (PBE) gives the theoretical powder XRD pattern in this record (Cu Kα X-rays).
Neutral-atom scattering factors, no anomalous dispersion.

Most intense lines, 5 to 70 degrees two-theta, by angle:
| 2θ/deg | I_rel |
| --- | --- |
| 10.97 | 0.8 |
| 30.07 | 100.0 |
| 34.83 | 17.1 |
| 34.88 | 33.8 |
| 50.13 | 36.2 |
| 59.58 | 43.0 |
| 62.51 | 12.4 |

Atomic structure:
Cell lengths 6.3017, 6.3017, 8.1448 Å; angles 97.43, 97.43, 48.17 degrees
Atoms (fractional coordinates):
La 0.1441 0.1441 0.4290
La 0.8559 0.8559 0.5710
Pm 0.4290 0.4290 0.2802
Pm 0.5710 0.5710 0.7198
Nd 0.0000 0.0000 0.0000
Tm 0.2838 0.2838 0.8619
Tm 0.7162 0.7162 0.1381